No. 1
Simulated powder X-ray diffraction pattern of Li2TiCrO4 for copper Kα, from a GGA+U-relaxed structure.
No peak broadening, texture or thermal motion is included.

Structure:
abc: 5.102 2.956 5.223
angles: 90.00 109.13 90.00
Positions (direct):
Li: 0.000 0.000 0.000
Li: 0.500 0.500 0.000
Ti: 0.000 0.500 0.500
Cr: 0.500 0.000 0.500
O: 0.245 0.000 0.733
O: 0.260 0.500 0.270
O: 0.740 0.500 0.730
O: 0.755 0.000 0.267

Most intense lines, 2θ = 10–90°, by angle:
2θ (°)	d/Å	I_rel
18.0	4.934	100
35.7	2.518	40
43.0	2.103	87
46.9	1.936	9
56.5	1.629	13
61.9	1.500	16
62.0	1.496	8
62.9	1.478	8
63.1	1.474	15
66.2	1.412	9

No. 2
Simulated powder X-ray diffraction pattern of Li2TiCrO4 for copper Kα, from a GGA+U-relaxed structure.
No peak broadening, texture or thermal motion is included.

Structure:
abc: 5.179 5.936 5.982
angles: 60.46 89.57 73.79
Positions (direct):
Li: 0.000 0.000 0.000
Li: 0.001 0.002 0.500
Li: 0.008 0.504 0.000
Li: 0.996 0.500 0.498
Ti: 0.502 0.503 0.241
Ti: 0.503 0.502 0.757
Cr: 0.499 0.007 0.748
Cr: 0.501 0.998 0.252
O: 0.263 0.749 0.877
O: 0.268 0.267 0.346
O: 0.275 0.255 0.886
O: 0.277 0.739 0.384
O: 0.728 0.266 0.617
O: 0.728 0.749 0.618
O: 0.734 0.250 0.122
O: 0.736 0.736 0.149

Most intense lines, 2θ = 10–90°, by angle:
2θ (°)	d/Å	I_rel
18.1	4.912	100
34.9	2.571	15
35.4	2.536	26
42.1	2.145	31
42.9	2.108	29
43.1	2.098	28
61.3	1.512	8
61.9	1.500	16
62.1	1.495	8
62.6	1.484	8

No. 3
Simulated powder X-ray diffraction pattern of Li2TiCrO4 for copper Kα, from a GGA+U-relaxed structure.
No peak broadening, texture or thermal motion is included.

Structure:
abc: 7.895 7.895 5.148
angles: 102.23 102.23 97.60
Positions (direct):
Li: 0.001 0.502 0.998
Li: 0.124 0.376 0.501
Li: 0.248 0.248 0.003
Li: 0.375 0.124 0.504
Li: 0.498 0.999 0.002
Li: 0.624 0.876 0.499
Li: 0.752 0.752 0.997
Li: 0.876 0.625 0.496
Ti: 0.125 0.875 0.000
Ti: 0.381 0.619 0.000
Ti: 0.621 0.379 0.000
Ti: 0.873 0.127 0.000
Cr: 0.252 0.748 0.500
Cr: 0.500 0.500 0.500
Cr: 0.748 0.252 0.500
Cr: 0.998 0.002 0.500
O: 0.018 0.752 0.240
O: 0.115 0.116 0.239
O: 0.138 0.635 0.754
O: 0.248 0.982 0.760
O: 0.263 0.511 0.257
O: 0.365 0.862 0.246
O: 0.380 0.380 0.750
O: 0.489 0.737 0.743
O: 0.510 0.263 0.261
O: 0.620 0.620 0.250
O: 0.635 0.136 0.753
O: 0.737 0.490 0.739
O: 0.748 0.017 0.237
O: 0.864 0.365 0.247
O: 0.884 0.885 0.761
O: 0.983 0.252 0.763

Most intense lines, 2θ = 10–90°, by angle:
2θ (°)	d/Å	I_rel
18.0	4.924	100
35.4	2.536	28
35.5	2.532	12
42.7	2.115	59
43.0	2.103	29
46.9	1.936	8
56.3	1.635	9
61.5	1.507	8
62.0	1.497	15
62.5	1.486	23